This entry pairs a crystal structure of Pr3CuSe2 with its theoretical powder XRD pattern. Radiation: Cu Kα (λ = 1.5418 Å). Structure: a PBE-relaxed structure.
Peak positions follow from Bragg's law for the DFT cell and can differ from measured ones.

Structure:
a = 6.0222 Å, b = 12.7045 Å, c = 8.5674 Å
α = 90.00°, β = 90.03°, γ = 90.00°
Sites, in units of the cell vectors:
Pr 0.2491 0.0796 0.1206
Pr 0.2491 0.4204 0.6206
Pr 0.2498 0.0866 0.6239
Pr 0.2498 0.4134 0.1239
Pr 0.2511 0.7477 0.1315
Pr 0.2511 0.7523 0.6315
Pr 0.7489 0.2477 0.3685
Pr 0.7489 0.2523 0.8685
Pr 0.7502 0.5866 0.8761
Pr 0.7502 0.9134 0.3761
Pr 0.7509 0.5796 0.3794
Pr 0.7509 0.9204 0.8794
Cu 0.2515 0.5861 0.3788
Cu 0.2515 0.9139 0.8788
Cu 0.7485 0.0861 0.1212
Cu 0.7485 0.4139 0.6212
Se 0.2489 0.2480 0.3731
Se 0.2489 0.2520 0.8731
Se 0.2502 0.5830 0.8781
Se 0.2502 0.9170 0.3781
Se 0.7498 0.0830 0.6219
Se 0.7498 0.4170 0.1219
Se 0.7511 0.7480 0.1269
Se 0.7511 0.7520 0.6269

The 6 most intense peaks (2θ = 10–90°), in order of falling intensity:
two_theta  d_spacing  I (rel.)  (hkl)
29.7  3.011  100  2 0 0
42.5  2.129  50  2 3 -2
69.8  1.347  17  4 3 -2
52.4  1.745  13  2 0 -4
52.9  1.732  13  2 6 0
42.2  2.142  13  0 0 4